Theoretical powder XRD pattern of CaIn for copper Kα, from a structure optimized by DFT (GGA-PBE).
Intensities are scaled so that the largest is 100.

Largest 8 diffraction maxima, most intense first, 10 to 90 degrees two-theta:
- 2θ = 32.78°, 2.732 Å, rel. 100, (1 1 0)
- 2θ = 58.51°, 1.578 Å, rel. 35, (2 1 1)
- 2θ = 23.02°, 3.864 Å, rel. 26, (1 0 0)
- 2θ = 47.03°, 1.932 Å, rel. 17, (2 0 0)
- 2θ = 78.23°, 1.222 Å, rel. 15, (3 1 0)
- 2θ = 52.99°, 1.728 Å, rel. 11, (2 1 0)
- 2θ = 68.70°, 1.366 Å, rel. 11, (2 2 0)
- 2θ = 40.43°, 2.231 Å, rel. 8, (1 1 1)

```
CaIn
1.0
3.8642 0.0000 0.0000
0.0000 3.8642 0.0000
0.0000 0.0000 3.8642
Ca In
1 1
direct
0.0000 0.0000 0.0000
0.5000 0.5000 0.5000
```